No. 1
For ZrTlAuS3, the GGA-PBE geometry in OQMD gives the simulated powder diffraction line list in this record (Cu Kα (weighted mean of Kα1 and Kα2)).
Intensities are scaled so that the largest is 1000.

Principal peaks in the range 2θ = 5–70°, by angle:
15.57 deg, intensity 319, hkl 2 0 0
21.70 deg, intensity 236, hkl 1 0 3
24.44 deg, intensity 298, hkl 3 0 1
27.14 deg, intensity 273, hkl 3 0 2
27.94 deg, intensity 394, hkl 2 1 0
31.14 deg, intensity 389, hkl 2 1 2
31.87 deg, intensity 1000, hkl 1 1 3
34.36 deg, intensity 230, hkl 4 0 2
41.98 deg, intensity 245, hkl 4 0 4
46.89 deg, intensity 297, hkl 5 1 1

Crystal structure
```
data_ZrTlAuS3
_symmetry_space_group_name_H-M 'P n m a'
_symmetry_Int_Tables_number 62
_cell_length_a 11.370
_cell_length_b 3.858
_cell_length_c 13.169
_cell_angle_alpha 90.00
_cell_angle_beta 90.00
_cell_angle_gamma 90.00
loop_
_symmetry_equiv_pos_as_xyz
'x,y,z'
'-x,-y,-z'
'-x+1/2,-y,z+1/2'
'x+1/2,y,-z+1/2'
'x+1/2,-y+1/2,-z+1/2'
'-x+1/2,y+1/2,z+1/2'
'-x,y+1/2,-z'
'x,-y+1/2,z'
loop_
_atom_site_label
_atom_site_fract_x
_atom_site_fract_y
_atom_site_fract_z
Zr1 0.056 0.250 0.144
Tl1 0.129 0.250 0.518
Au1 0.236 0.750 0.351
S1 0.045 0.750 0.278
S2 0.083 0.250 0.935
S3 0.237 0.750 0.648
```

No. 2
For Sm3Mg3ZnAu2, the GGA-PBE geometry in OQMD gives the simulated powder diffraction line list in this record (Cu Kα (weighted mean of Kα1 and Kα2)).
Intensities are scaled so that the largest is 1000.

Principal peaks in the range 2θ = 5–70°, by angle:
13.17 deg, intensity 435, hkl 1 0 0
22.91 deg, intensity 386, hkl 1 1 0
31.68 deg, intensity 1000, hkl 1 1 1
34.45 deg, intensity 754, hkl 2 0 1
35.33 deg, intensity 224, hkl 2 1 0
40.25 deg, intensity 330, hkl 3 0 0
41.78 deg, intensity 228, hkl 2 1 1
61.14 deg, intensity 193, hkl 3 0 2
64.53 deg, intensity 199, hkl 3 2 1
67.82 deg, intensity 265, hkl 3 1 2

Crystal structure
```
data_Sm3Mg3ZnAu2
_symmetry_space_group_name_H-M 'P -6 2 m'
_symmetry_Int_Tables_number 189
_symmetry_space_group_name_Hall 'P -6 -2'
_cell_length_a 7.7624
_cell_length_b 7.7624
_cell_length_c 4.1167
_cell_angle_alpha 90.00
_cell_angle_beta 90.00
_cell_angle_gamma 120.00
loop_
_atom_site_label
_atom_site_fract_x
_atom_site_fract_y
_atom_site_fract_z
Sm1 0.0000 0.4115 0.0000
Mg1 0.0000 0.7546 0.5000
Zn1 0.0000 0.0000 0.0000
Au1 0.3333 0.6667 0.5000
```

No. 3
For ZrS4Cl2F4, the GGA-PBE geometry in OQMD gives the simulated powder diffraction line list in this record (Cu Kα (weighted mean of Kα1 and Kα2)).
Intensities are scaled so that the largest is 1000.

Principal peaks in the range 2θ = 5–70°, by angle:
18.23 deg, intensity 750, hkl 1 0 1
18.77 deg, intensity 544, hkl 1 1 0
19.18 deg, intensity 1000, hkl 0 1 1
24.10 deg, intensity 338, hkl 0 1 -1
25.76 deg, intensity 959, hkl 1 0 -1
26.97 deg, intensity 439, hkl 1 -1 0
29.84 deg, intensity 328, hkl 1 -1 1
32.80 deg, intensity 252, hkl 1 2 2
35.05 deg, intensity 333, hkl 2 2 2
42.57 deg, intensity 309, hkl 2 2 3

Crystal structure
```
data_ZrS4Cl2F4
_symmetry_space_group_name_H-M 'P -1'
_symmetry_Int_Tables_number 2
_cell_length_a 6.311
_cell_length_b 6.375
_cell_length_c 6.922
_cell_angle_alpha 67.67
_cell_angle_beta 63.53
_cell_angle_gamma 63.02
loop_
_symmetry_equiv_pos_as_xyz
'x,y,z'
'-x,-y,-z'
loop_
_atom_site_label
_atom_site_fract_x
_atom_site_fract_y
_atom_site_fract_z
Zr1 0.000 0.000 0.000
S1 0.362 0.403 0.462
S2 0.475 0.692 0.310
Cl1 0.086 0.196 0.191
F1 0.198 0.672 0.148
F2 0.323 0.019 0.743
```

No. 4
For UFeMo, the GGA-PBE geometry in OQMD gives the simulated powder diffraction line list in this record (Cu Kα (weighted mean of Kα1 and Kα2)).
Intensities are scaled so that the largest is 1000.

Principal peaks in the range 2θ = 5–70°, by angle:
25.81 deg, intensity 338, hkl 1 1 1
29.89 deg, intensity 630, hkl 2 0 0
42.79 deg, intensity 1000, hkl 2 2 0
50.65 deg, intensity 176, hkl 3 1 1
53.07 deg, intensity 175, hkl 2 2 2
62.11 deg, intensity 165, hkl 4 0 0
68.41 deg, intensity 76, hkl 3 3 1

Crystal structure
```
data_UFeMo
_symmetry_space_group_name_H-M 'F -4 3 m'
_symmetry_Int_Tables_number 216
_symmetry_space_group_name_Hall 'F -4 2 3'
_cell_length_a 5.978
_cell_length_b 5.978
_cell_length_c 5.978
_cell_angle_alpha 90.00
_cell_angle_beta 90.00
_cell_angle_gamma 90.00
loop_
_atom_site_label
_atom_site_fract_x
_atom_site_fract_y
_atom_site_fract_z
U1 0.000 0.000 0.000
Fe1 0.250 0.250 0.250
Mo1 0.000 0.000 0.500
```

No. 5
For Lu4CdC3, the GGA-PBE geometry in OQMD gives the simulated powder diffraction line list in this record (Cu Kα (weighted mean of Kα1 and Kα2)).
Intensities are scaled so that the largest is 1000.

Principal peaks in the range 2θ = 5–70°, by angle:
6.42 deg, intensity 259, hkl 0 0 2
29.68 deg, intensity 285, hkl 1 0 1
30.22 deg, intensity 249, hkl 1 0 2
32.30 deg, intensity 941, hkl 1 0 4
32.49 deg, intensity 680, hkl 0 0 10
33.78 deg, intensity 1000, hkl 1 0 5
35.51 deg, intensity 887, hkl 1 0 6
52.34 deg, intensity 616, hkl 1 1 0
55.70 deg, intensity 243, hkl 1 0 14
62.97 deg, intensity 625, hkl 1 1 10

Crystal structure
```
data_Lu4CdC3
_symmetry_space_group_name_H-M 'P 63/m m c'
_symmetry_Int_Tables_number 194
_symmetry_space_group_name_Hall '-P 6c 2c'
_cell_length_a 3.4960
_cell_length_b 3.4960
_cell_length_c 27.5556
_cell_angle_alpha 90.00
_cell_angle_beta 90.00
_cell_angle_gamma 120.00
loop_
_atom_site_label
_atom_site_fract_x
_atom_site_fract_y
_atom_site_fract_z
Lu1 0.0000 0.0000 0.1490
Lu2 0.3333 0.6667 0.0512
Cd1 0.3333 0.6667 0.2500
C1 0.0000 0.0000 0.0000
C2 0.3333 0.6667 0.6089
```

No. 6
For Rb2GdTmS4, the GGA-PBE geometry in OQMD gives the simulated powder diffraction line list in this record (Cu Kα (weighted mean of Kα1 and Kα2)).
Intensities are scaled so that the largest is 1000.

Principal peaks in the range 2θ = 5–70°, by angle:
11.53 deg, intensity 345, hkl 0 0 2
23.17 deg, intensity 273, hkl 0 0 4
27.91 deg, intensity 1000, hkl 0 1 2
30.85 deg, intensity 365, hkl 1 0 3
34.60 deg, intensity 313, hkl 1 0 4
43.75 deg, intensity 432, hkl 0 1 6
44.64 deg, intensity 363, hkl 1 1 0
50.89 deg, intensity 208, hkl 1 1 4
53.47 deg, intensity 166, hkl 2 0 2
67.12 deg, intensity 144, hkl 1 1 8

Crystal structure
```
data_Rb2GdTmS4
_symmetry_space_group_name_H-M 'P -3 m 1'
_symmetry_Int_Tables_number 164
_symmetry_space_group_name_Hall '-P 3 2"'
_cell_length_a 4.0600
_cell_length_b 4.0600
_cell_length_c 15.3528
_cell_angle_alpha 90.00
_cell_angle_beta 90.00
_cell_angle_gamma 120.00
loop_
_atom_site_label
_atom_site_fract_x
_atom_site_fract_y
_atom_site_fract_z
Rb1 0.3333 0.6667 0.2481
Gd1 0.0000 0.0000 0.5000
Tm1 0.0000 0.0000 0.0000
S1 0.3333 0.6667 0.5981
S2 0.3333 0.6667 0.9061
```